Calculated powder X-ray diffraction pattern of LaSm3Dy7 for a wavelength of 1.5418 Å, from a PBE-relaxed structure.

Peak list (10 most intense, 5 to 70 degrees two-theta, in order of rising 2θ)
(0 0 1), 2θ = 10.16°, rel. 4; (1 0 0), 2θ = 14.42°, rel. 3; (0 1 1), 2θ = 17.67°, rel. 5; (1 0 2), 2θ = 25.08°, rel. 3; (2 0 1), 2θ = 30.85°, rel. 100; (0 2 2), 2θ = 35.77°, rel. 51; (2 2 0), 2θ = 51.49°, rel. 36; (2 2 3), 2θ = 61.22°, rel. 32; (0 4 1), 2θ = 61.29°, rel. 11; (4 0 2), 2θ = 64.32°, rel. 9

Structural model:
Lattice parameters (Å, degrees): 7.0935 7.0935 8.7098 90.00 90.00 120.00
Sites, in units of the cell vectors:
La 0.0000 0.0000 0.0000
Sm 0.1672 0.3344 0.6602
Sm 0.1672 0.8328 0.6602
Sm 0.6656 0.8328 0.6602
Dy 0.0020 0.5010 0.9986
Dy 0.3324 0.1662 0.3278
Dy 0.3333 0.6667 0.3244
Dy 0.4990 0.5010 0.9986
Dy 0.4990 0.9980 0.9986
Dy 0.8338 0.1662 0.3278
Dy 0.8338 0.6676 0.3278